1.
This entry pairs a crystal structure of YHo2Cu4Si2Ge2 with its theoretical powder diffractogram. Radiation: Cu Kα (λ = 1.5418 Å). Structure: a DFT-relaxed cell (PBE, OQMD).
Peak positions follow from Bragg's law for the DFT cell and can differ from measured ones.

Lattice parameters (Å, degrees): 7.9264 7.9264 7.9264 149.46 130.82 59.01
Atoms (fractional coordinates):
Y (0.0000, 0.0000, 0.0000)
Ho (0.3710, 0.8710, 0.5000)
Ho (0.6290, 0.1290, 0.5000)
Cu (0.0280, 0.3366, 0.6914)
Cu (0.3549, 0.6634, 0.6914)
Cu (0.6451, 0.3366, 0.3086)
Cu (0.9720, 0.6634, 0.3086)
Si (0.3173, 0.5000, 0.8173)
Si (0.6827, 0.5000, 0.1827)
Ge (0.2172, 0.2172, 0.0000)
Ge (0.7828, 0.7828, 0.0000)

Most intense lines, 2θ = 15–90°, low angle first:
| two_theta | d [Å] | intensity |
| --- | --- | --- |
| 27.03 | 3.298 | 15 |
| 35.27 | 2.544 | 100 |
| 36.43 | 2.466 | 97 |
| 39.17 | 2.300 | 12 |
| 39.97 | 2.256 | 36 |
| 43.34 | 2.088 | 34 |
| 45.74 | 1.984 | 22 |
| 57.05 | 1.614 | 14 |
| 64.81 | 1.438 | 24 |
| 81.43 | 1.182 | 13 |

=====

2.
This entry pairs a crystal structure of TbHo2Cu4Sn2Ge2 with its theoretical powder diffractogram. Radiation: Cu Kα (λ = 1.5418 Å). Structure: a DFT-relaxed cell (PBE, OQMD).
Peak positions follow from Bragg's law for the DFT cell and can differ from measured ones.

Lattice parameters (Å, degrees): 8.2270 8.2270 8.2270 149.82 130.06 59.47
Atoms (fractional coordinates):
Tb (0.0000, 0.0000, 0.0000)
Ho (0.3647, 0.8647, 0.5000)
Ho (0.6353, 0.1353, 0.5000)
Cu (0.0107, 0.3224, 0.6882)
Cu (0.3658, 0.6776, 0.6882)
Cu (0.6342, 0.3224, 0.3118)
Cu (0.9893, 0.6776, 0.3118)
Sn (0.2989, 0.5000, 0.7989)
Sn (0.7011, 0.5000, 0.2011)
Ge (0.2167, 0.2167, 0.0000)
Ge (0.7833, 0.7833, 0.0000)

Most intense lines, 2θ = 15–90°, low angle first:
| two_theta | d [Å] | intensity |
| --- | --- | --- |
| 27.47 | 3.247 | 14 |
| 33.81 | 2.651 | 100 |
| 33.92 | 2.643 | 20 |
| 35.17 | 2.551 | 86 |
| 37.80 | 2.380 | 28 |
| 42.20 | 2.142 | 38 |
| 43.46 | 2.082 | 32 |
| 46.28 | 1.962 | 22 |
| 62.18 | 1.493 | 22 |
| 76.93 | 1.239 | 15 |

=====

3.
This entry pairs a crystal structure of Y2HoCu4Sn2Ge2 with its theoretical powder diffractogram. Radiation: Cu Kα (λ = 1.5418 Å). Structure: a DFT-relaxed cell (PBE, OQMD).
Peak positions follow from Bragg's law for the DFT cell and can differ from measured ones.

Lattice parameters (Å, degrees): 8.2522 8.2522 8.2522 149.82 130.40 59.17
Atoms (fractional coordinates):
Y (0.1357, 0.1357, 0.0000)
Y (0.8643, 0.8643, 0.0000)
Ho (0.5000, 0.0000, 0.5000)
Cu (0.1375, 0.3241, 0.8134)
Cu (0.4893, 0.6759, 0.8134)
Cu (0.5107, 0.3241, 0.1866)
Cu (0.8625, 0.6759, 0.1866)
Sn (0.2021, 0.5000, 0.7021)
Sn (0.7979, 0.5000, 0.2979)
Ge (0.2836, 0.7836, 0.5000)
Ge (0.7164, 0.2164, 0.5000)

Most intense lines, 2θ = 15–90°, low angle first:
| two_theta | d [Å] | intensity |
| --- | --- | --- |
| 27.41 | 3.254 | 14 |
| 33.83 | 2.650 | 100 |
| 35.07 | 2.559 | 61 |
| 37.62 | 2.391 | 25 |
| 42.06 | 2.148 | 32 |
| 43.54 | 2.079 | 26 |
| 46.19 | 1.965 | 34 |
| 57.67 | 1.598 | 12 |
| 62.13 | 1.494 | 19 |
| 77.10 | 1.237 | 12 |

=====

4.
This entry pairs a crystal structure of HoCuGeTe3 with its theoretical powder diffractogram. Radiation: Cu Kα (λ = 1.5418 Å). Structure: a DFT-relaxed cell (PBE, OQMD).
Peak positions follow from Bragg's law for the DFT cell and can differ from measured ones.

Lattice parameters (Å, degrees): 7.4104 7.4104 11.0295 90.00 90.00 147.68
Atoms (fractional coordinates):
Ho (0.0000, 0.0000, 0.0000)
Ho (0.0000, 0.0000, 0.5000)
Cu (0.4751, 0.5249, 0.7500)
Cu (0.5249, 0.4751, 0.2500)
Ge (0.2209, 0.7791, 0.2500)
Ge (0.7791, 0.2209, 0.7500)
Te (0.0944, 0.9056, 0.7500)
Te (0.3505, 0.6495, 0.5714)
Te (0.3505, 0.6495, 0.9286)
Te (0.6495, 0.3505, 0.0714)
Te (0.6495, 0.3505, 0.4286)
Te (0.9056, 0.0944, 0.2500)

Most intense lines, 2θ = 15–90°, low angle first:
| two_theta | d [Å] | intensity |
| --- | --- | --- |
| 27.30 | 3.266 | 38 |
| 28.68 | 3.113 | 28 |
| 29.82 | 2.996 | 44 |
| 32.47 | 2.757 | 20 |
| 33.04 | 2.711 | 100 |
| 33.24 | 2.695 | 18 |
| 39.83 | 2.263 | 19 |
| 41.43 | 2.179 | 29 |
| 41.89 | 2.157 | 21 |
| 43.90 | 2.063 | 27 |

=====

5.
This entry pairs a crystal structure of InCu3GeTe4 with its theoretical powder diffractogram. Radiation: Cu Kα (λ = 1.5418 Å). Structure: a DFT-relaxed cell (PBE, OQMD).
Peak positions follow from Bragg's law for the DFT cell and can differ from measured ones.

Lattice parameters (Å, degrees): 6.0299 7.9177 10.7144 90.00 104.56 90.00
Atoms (fractional coordinates):
In (0.1673, 0.2500, 0.4064)
In (0.8327, 0.7500, 0.5936)
Cu (0.3049, 0.5474, 0.0123)
Cu (0.3049, 0.9526, 0.0123)
Cu (0.3345, 0.7500, 0.2043)
Cu (0.6655, 0.2500, 0.7957)
Cu (0.6951, 0.0474, 0.9877)
Cu (0.6951, 0.4526, 0.9877)
Ge (0.1199, 0.2500, 0.7747)
Ge (0.8801, 0.7500, 0.2253)
Te (0.0436, 0.2500, 0.0151)
Te (0.2273, 0.7500, 0.4308)
Te (0.3830, 0.5227, 0.7789)
Te (0.3830, 0.9773, 0.7789)
Te (0.6170, 0.0227, 0.2211)
Te (0.6170, 0.4773, 0.2211)
Te (0.7727, 0.2500, 0.5692)
Te (0.9564, 0.7500, 0.9849)

Most intense lines, 2θ = 15–90°, low angle first:
| two_theta | d [Å] | intensity |
| --- | --- | --- |
| 25.69 | 3.468 | 65 |
| 26.46 | 3.369 | 97 |
| 27.22 | 3.276 | 100 |
| 27.37 | 3.259 | 81 |
| 32.71 | 2.738 | 36 |
| 41.08 | 2.197 | 68 |
| 41.90 | 2.156 | 93 |
| 43.63 | 2.074 | 44 |
| 45.84 | 1.979 | 38 |
| 47.71 | 1.906 | 43 |

=====

6.
This entry pairs a crystal structure of Cu2Ge2Ir with its theoretical powder diffractogram. Radiation: Cu Kα (λ = 1.5418 Å). Structure: a DFT-relaxed cell (PBE, OQMD).
Peak positions follow from Bragg's law for the DFT cell and can differ from measured ones.

Lattice parameters (Å, degrees): 3.6709 3.6709 11.0669 90.00 90.00 90.00
Atoms (fractional coordinates):
Cu (0.0000, 0.0000, 0.1020)
Cu (0.0000, 0.0000, 0.8980)
Cu (0.5000, 0.5000, 0.3980)
Cu (0.5000, 0.5000, 0.6020)
Ge (0.0000, 0.5000, 0.2500)
Ge (0.0000, 0.5000, 0.7500)
Ge (0.5000, 0.0000, 0.2500)
Ge (0.5000, 0.0000, 0.7500)
Ir (0.0000, 0.0000, 0.5000)
Ir (0.5000, 0.5000, 0.0000)

Most intense lines, 2θ = 15–90°, low angle first:
| two_theta | d [Å] | intensity |
| --- | --- | --- |
| 25.57 | 3.484 | 11 |
| 32.36 | 2.767 | 14 |
| 34.49 | 2.601 | 66 |
| 38.30 | 2.350 | 100 |
| 48.00 | 1.895 | 41 |
| 49.67 | 1.835 | 37 |
| 61.86 | 1.500 | 19 |
| 71.56 | 1.319 | 23 |
| 72.88 | 1.298 | 12 |
| 85.46 | 1.136 | 20 |

=====

7.
This entry pairs a crystal structure of LaNd2Cu2Ge4Ir2 with its theoretical powder diffractogram. Radiation: Cu Kα (λ = 1.5418 Å). Structure: a DFT-relaxed cell (PBE, OQMD).
Peak positions follow from Bragg's law for the DFT cell and can differ from measured ones.

Lattice parameters (Å, degrees): 12.7253 12.7253 12.7253 161.03 160.86 27.08
Atoms (fractional coordinates):
La (0.0000, 0.0000, 0.0000)
Nd (0.3518, 0.8518, 0.5000)
Nd (0.6482, 0.1482, 0.5000)
Cu (0.0966, 0.5966, 0.5000)
Cu (0.9034, 0.4034, 0.5000)
Ge (0.1944, 0.6944, 0.5000)
Ge (0.4482, 0.4482, 0.0000)
Ge (0.5518, 0.5518, 0.0000)
Ge (0.8056, 0.3056, 0.5000)
Ir (0.2496, 0.2496, 0.0000)
Ir (0.7504, 0.7504, 0.0000)

Most intense lines, 2θ = 15–90°, low angle first:
| two_theta | d [Å] | intensity |
| --- | --- | --- |
| 33.14 | 2.703 | 30 |
| 33.38 | 2.684 | 100 |
| 37.23 | 2.415 | 22 |
| 39.07 | 2.305 | 12 |
| 42.11 | 2.146 | 11 |
| 42.74 | 2.116 | 26 |
| 43.13 | 2.097 | 25 |
| 45.68 | 1.986 | 15 |
| 55.13 | 1.666 | 14 |
| 62.34 | 1.490 | 16 |

=====

8.
This entry pairs a crystal structure of La2PrCu2Ge4Ir2 with its theoretical powder diffractogram. Radiation: Cu Kα (λ = 1.5418 Å). Structure: a DFT-relaxed cell (PBE, OQMD).
Peak positions follow from Bragg's law for the DFT cell and can differ from measured ones.

Lattice parameters (Å, degrees): 13.1236 13.1236 13.1236 161.71 161.37 26.22
Atoms (fractional coordinates):
La (0.1463, 0.1463, 0.0000)
La (0.8537, 0.8537, 0.0000)
Pr (0.5000, 0.0000, 0.5000)
Cu (0.2504, 0.7504, 0.5000)
Cu (0.7496, 0.2496, 0.5000)
Ge (0.0490, 0.5490, 0.5000)
Ge (0.3030, 0.3030, 0.0000)
Ge (0.6970, 0.6970, 0.0000)
Ge (0.9510, 0.4510, 0.5000)
Ir (0.4013, 0.4013, 0.0000)
Ir (0.5987, 0.5987, 0.0000)

Most intense lines, 2θ = 15–90°, low angle first:
| two_theta | d [Å] | intensity |
| --- | --- | --- |
| 32.59 | 2.748 | 42 |
| 33.20 | 2.698 | 100 |
| 38.11 | 2.361 | 25 |
| 42.55 | 2.125 | 28 |
| 43.39 | 2.086 | 26 |
| 44.43 | 2.039 | 26 |
| 54.60 | 1.681 | 19 |
| 59.10 | 1.563 | 14 |
| 62.39 | 1.488 | 18 |
| 63.84 | 1.458 | 18 |